Calculated powder diffraction line list
Compound: NbCuNiRh
Radiation: Cu Ka
Structure: a DFT-relaxed cell (PBE, Alexandria)
Intensities are scaled so that the largest is 100.

Largest 8 diffraction maxima, low angle first, 2θ from 10° to 90°:
41.13 deg, intensity 100; 47.26 deg, intensity 33; 49.04 deg, intensity 15; 69.06 deg, intensity 10; 70.47 deg, intensity 19; 83.65 deg, intensity 23; 86.31 deg, intensity 11; 89.26 deg, intensity 10

Atomic structure:
Cell lengths 4.6045, 4.6045, 4.6045 Å; angles 130.62, 130.62, 72.42 degrees
Positions (direct):
1 Nb 0.0000 0.0000 0.0000
2 Cu 0.5000 0.5000 0.0000
3 Ni 0.7500 0.2500 0.5000
4 Rh 0.2500 0.7500 0.5000